[1]
# LiReN2
Calculated X-ray diffraction stick pattern, Cu Kα (λ = 1.5418 Å). Input: DFT lattice parameters and positions (GGA-PBE).
Intensities are scaled so that the largest is 100.

Atomic structure:
a b c (Å): 5.624 6.545 5.552
angles (deg): 90.00 90.00 90.00
Space group Pna2_1 (No. 33)
Asymmetric unit:
Li: 0.087 0.123 0.000 (multiplicity 4)
Re: 0.069 0.631 0.008 (multiplicity 4)
N: 0.055 0.602 0.348 (multiplicity 4)
N: 0.105 0.140 0.396 (multiplicity 4)

Main lines, most intense first (2θ = 10–90°):
Position (°2θ)  I_rel  index
20.98  100.0  0 1 1
20.82  73.2  1 1 0
35.62  71.9  1 2 1
32.25  33.2  0 0 2
38.70  25.8  1 1 2
35.79  24.6  2 0 1
59.71  22.6  1 2 3
44.58  21.2  1 3 0


[2]
# LiReN2
Calculated X-ray diffraction stick pattern, Cu Kα (λ = 1.5418 Å). Input: DFT lattice parameters and positions (GGA-PBE).
Intensities are scaled so that the largest is 100.

Atomic structure:
a b c (Å): 4.681 4.681 9.338
angles (deg): 90.00 90.00 90.00
Space group I-42d (No. 122)
Asymmetric unit:
Li: 0.000 0.000 0.000 (multiplicity 4)
Re: 0.000 0.000 0.500 (multiplicity 4)
N: 0.201 0.750 0.625 (multiplicity 8)

Main lines, most intense first (2θ = 10–90°):
Position (°2θ)  I_rel  index
21.23  100.0  1 0 1
33.18  70.0  1 1 2
55.58  29.2  2 0 4
44.35  26.3  2 1 1
38.50  26.1  2 0 0
52.72  25.8  2 1 3
34.61  25.7  1 0 3
66.24  19.2  3 1 2


[3]
# Li3RhN2
Calculated X-ray diffraction stick pattern, Cu Kα (λ = 1.5418 Å). Input: DFT lattice parameters and positions (GGA-PBE).
Intensities are scaled so that the largest is 100.

Atomic structure:
a b c (Å): 6.583 7.527 8.100
angles (deg): 90.00 120.29 90.00
Space group P2_1/c (No. 14)
Asymmetric unit:
Li: 0.009 0.159 0.187 (multiplicity 4)
Li: 0.204 0.527 0.038 (multiplicity 4)
Li: 0.349 0.171 0.084 (multiplicity 4)
Rh: 0.221 0.652 0.701 (multiplicity 4)
N: 0.034 0.208 0.464 (multiplicity 4)
N: 0.447 0.529 0.919 (multiplicity 4)

Main lines, most intense first (2θ = 10–90°):
Position (°2θ)  I_rel  index
19.57  100.0  1 1 0
18.54  88.7  1 1 -1
25.13  68.2  1 1 -2
26.90  56.9  0 2 1
36.38  47.8  2 2 -1
28.80  39.5  2 0 -2
42.99  28.2  2 2 -3
43.95  21.9  1 3 1


[4]
# Li3RhN2
Calculated X-ray diffraction stick pattern, Cu Kα (λ = 1.5418 Å). Input: DFT lattice parameters and positions (GGA-PBE).
Intensities are scaled so that the largest is 100.

Atomic structure:
a b c (Å): 9.825 9.825 9.825
angles (deg): 90.00 90.00 90.00
Space group Ia-3 (No. 206)
Asymmetric unit:
Li: 0.106 0.134 0.875 (multiplicity 48)
Rh: 0.132 0.132 0.132 (multiplicity 16)
N: 0.000 0.250 0.015 (multiplicity 24)
N: 0.250 0.250 0.250 (multiplicity 8)

Main lines, most intense first (2θ = 10–90°):
Position (°2θ)  I_rel  index
22.16  100.0  2 1 1
34.15  64.2  3 1 2
52.70  34.4  4 4 0
36.58  22.4  4 0 0
57.85  21.2  5 2 3
50.91  17.0  5 2 1
43.19  17.0  3 3 2
70.42  14.6  7 1 2


[5]
# LiRuN2
Calculated X-ray diffraction stick pattern, Cu Kα (λ = 1.5418 Å). Input: DFT lattice parameters and positions (GGA-PBE).
Intensities are scaled so that the largest is 100.

Atomic structure:
a b c (Å): 4.689 4.689 8.963
angles (deg): 90.00 90.00 90.00
Space group I-42d (No. 122)
Asymmetric unit:
Li: 0.000 0.000 0.000 (multiplicity 4)
Ru: 0.000 0.000 0.500 (multiplicity 4)
N: 0.205 0.250 0.625 (multiplicity 8)

Main lines, most intense first (2θ = 10–90°):
Position (°2θ)  I_rel  index
21.39  100.0  1 0 1
33.63  71.7  1 1 2
44.37  23.1  2 1 1
35.63  21.2  1 0 3
56.84  20.5  2 0 4
66.41  18.4  3 1 2
53.38  15.9  2 1 3
68.93  15.4  1 1 6